Structure and theoretical XRD peak list of CsS2O6F2 (a structure optimized by DFT (GGA-PBE); Cu Ka).
Neutral-atom scattering factors, no anomalous dispersion.

Cell: 14.187 7.890 9.931 Å, 90.00 131.24 90.00°
Space group C2/c (No. 15)
Inequivalent atoms, fractional coordinates:
Cs (0.000, 0.105, 0.250) x4
S (0.180, 0.336, 0.730) x8
O (0.085, 0.205, 0.650) x8
O (0.217, 0.177, 0.076) x8
O (0.224, 0.375, 0.637) x8
F (0.107, 0.494, 0.208) x8

Main lines, by angle (2θ = 10–90°):
| 2theta | I/Imax |
| --- | --- |
| 13.96 | 316 |
| 22.39 | 1000 |
| 23.12 | 634 |
| 23.83 | 644 |
| 25.54 | 892 |
| 27.51 | 421 |
| 29.29 | 312 |
| 35.31 | 189 |
| 35.52 | 343 |
| 40.97 | 175 |